Diffraction record for Tb2PmEr2. The powder diffractogram is calculated, not measured: it uses a PBE-relaxed structure and Cu Kα (λ = 1.5418 Å).
Lines closer than 0.1° are merged.

Cell and atoms:
```
data_Tb2PmEr2
_chemical_formula_sum 'Tb4 Pm2 Er4'
_cell_length_a 9.324
_cell_length_b 9.324
_cell_length_c 3.726
_cell_angle_alpha 90.00
_cell_angle_beta 90.00
_cell_angle_gamma 90.00
_space_group_name_H-M_alt 'P 4/m b m'
_space_group_IT_number 127
_space_group_name_Hall '-P 4 2ab'
loop_
_atom_site_label
_atom_site_type_symbol
_atom_site_fract_x
_atom_site_fract_y
_atom_site_fract_z
_atom_site_occupancy
Tb1 Tb 0.126 0.374 0.000 1
Pm1 Pm 0.000 0.000 0.000 1
Er1 Er 0.171 0.671 0.500 1
```

The 12 most intense peaks (2θ = 10–90°), sorted by position:
- 3.296 Å, 27.0 deg, I = 11
- 2.948 Å, 30.3 deg, I = 58
- 2.911 Å, 30.7 deg, I = 27
- 2.778 Å, 32.2 deg, I = 100
- 2.586 Å, 34.7 deg, I = 11
- 2.261 Å, 39.9 deg, I = 8
- 2.124 Å, 42.6 deg, I = 8
- 1.933 Å, 47.0 deg, I = 12
- 1.863 Å, 48.9 deg, I = 11
- 1.642 Å, 56.0 deg, I = 15
- 1.575 Å, 58.6 deg, I = 18
- 1.570 Å, 58.8 deg, I = 17

Diffraction record for Rb2TbCuI6. The powder diffractogram is calculated, not measured: it uses a PBE-relaxed structure and Cu Kα (λ = 1.5418 Å).
Lines closer than 0.1° are merged.

Cell and atoms:
```
data_Rb2TbCuI6
_chemical_formula_sum 'Rb4 Tb2 Cu2 I12'
_cell_length_a 11.724
_cell_length_b 12.124
_cell_length_c 8.300
_cell_angle_alpha 90.00
_cell_angle_beta 134.93
_cell_angle_gamma 90.00
_space_group_name_H-M_alt 'C 1 2/m 1'
_space_group_IT_number 12
loop_
_space_group_symop_operation_xyz
'x,y,z'
'-x,-y,-z'
'-x,y,-z'
'x,-y,z'
'x+1/2,y+1/2,z'
'-x+1/2,-y+1/2,-z'
'-x+1/2,y+1/2,-z'
'x+1/2,-y+1/2,z'
loop_
_atom_site_label
_atom_site_type_symbol
_atom_site_fract_x
_atom_site_fract_y
_atom_site_fract_z
_atom_site_occupancy
Rb1 Rb 0.000 0.250 0.000 1
Tb1 Tb 0.000 0.000 0.500 1
Cu1 Cu 0.000 0.500 0.500 1
I1 I 0.000 0.251 0.500 1
I2 I 0.241 0.500 0.501 1
I3 I 0.241 0.500 0.983 1
```

The 12 most intense peaks (2θ = 10–90°), sorted by position:
- 6.062 Å, 14.6 deg, I = 18
- 5.869 Å, 15.1 deg, I = 35
- 3.424 Å, 26.0 deg, I = 100
- 3.031 Å, 29.5 deg, I = 50
- 2.934 Å, 30.5 deg, I = 90
- 2.694 Å, 33.3 deg, I = 13
- 2.108 Å, 42.9 deg, I = 69
- 2.075 Å, 43.6 deg, I = 33
- 1.817 Å, 50.2 deg, I = 16
- 1.775 Å, 51.5 deg, I = 28
- 1.712 Å, 53.5 deg, I = 36
- 1.347 Å, 69.9 deg, I = 16

Diffraction record for NiIN. The powder diffractogram is calculated, not measured: it uses a PBE-relaxed structure and Cu Kα (λ = 1.5418 Å).
Lines closer than 0.1° are merged.

Cell and atoms:
```
data_NiIN
_chemical_formula_sum 'Ni4 I4 N4'
_cell_length_a 14.801
_cell_length_b 5.050
_cell_length_c 4.091
_cell_angle_alpha 90.00
_cell_angle_beta 105.98
_cell_angle_gamma 90.00
_space_group_name_H-M_alt 'C 1 2/m 1'
_space_group_IT_number 12
loop_
_space_group_symop_operation_xyz
'x,y,z'
'-x,-y,-z'
'-x,y,-z'
'x,-y,z'
'x+1/2,y+1/2,z'
'-x+1/2,-y+1/2,-z'
'-x+1/2,y+1/2,-z'
'x+1/2,-y+1/2,z'
loop_
_atom_site_label
_atom_site_type_symbol
_atom_site_fract_x
_atom_site_fract_y
_atom_site_fract_z
_atom_site_occupancy
Ni1 Ni 0.000 0.245 0.000 1
I1 I 0.156 0.000 0.154 1
N1 N 0.000 0.500 0.357 1
```

The 12 most intense peaks (2θ = 10–90°), sorted by position:
- 4.759 Å, 18.6 deg, I = 32
- 3.931 Å, 22.6 deg, I = 100
- 3.457 Å, 25.8 deg, I = 83
- 3.179 Å, 28.1 deg, I = 67
- 2.371 Å, 37.9 deg, I = 50
- 2.059 Å, 44.0 deg, I = 21
- 2.045 Å, 44.3 deg, I = 18
- 1.957 Å, 46.4 deg, I = 68
- 1.901 Å, 47.9 deg, I = 25
- 1.820 Å, 50.1 deg, I = 19
- 1.760 Å, 51.9 deg, I = 18
- 1.451 Å, 64.2 deg, I = 16

Diffraction record for Ca3Zn2Ag9. The powder diffractogram is calculated, not measured: it uses a PBE-relaxed structure and Cu Kα (λ = 1.5418 Å).
Lines closer than 0.1° are merged.

Cell and atoms:
```
data_Ca3Zn2Ag9
_chemical_formula_sum 'Ca6 Zn4 Ag18'
_cell_length_a 4.637
_cell_length_b 9.980
_cell_length_c 13.059
_cell_angle_alpha 90.00
_cell_angle_beta 90.00
_cell_angle_gamma 90.00
_space_group_name_H-M_alt 'I m m m'
_space_group_IT_number 71
_space_group_name_Hall '-I 2 2'
loop_
_atom_site_label
_atom_site_type_symbol
_atom_site_fract_x
_atom_site_fract_y
_atom_site_fract_z
_atom_site_occupancy
Ca1 Ca 0.000 0.000 0.000 1
Ca2 Ca 0.000 0.000 0.307 1
Zn1 Zn 0.000 0.214 0.500 1
Ag1 Ag 0.000 0.275 0.119 1
Ag2 Ag 0.000 0.361 0.326 1
Ag3 Ag 0.000 0.500 0.000 1
```

The 12 most intense peaks (2θ = 10–90°), sorted by position:
- 4.990 Å, 17.8 deg, I = 62
- 4.205 Å, 21.1 deg, I = 51
- 3.990 Å, 22.3 deg, I = 34
- 2.732 Å, 32.8 deg, I = 42
- 2.703 Å, 33.1 deg, I = 46
- 2.678 Å, 33.5 deg, I = 100
- 2.497 Å, 36.0 deg, I = 57
- 2.318 Å, 38.8 deg, I = 91
- 2.276 Å, 39.6 deg, I = 59
- 2.167 Å, 41.7 deg, I = 45
- 2.082 Å, 43.5 deg, I = 37
- 2.070 Å, 43.7 deg, I = 58